For Li2V3TeO8, a crystal structure in the Materials Project, relaxed with PBE+U gives the theoretical X-ray diffraction stick pattern in this record (a wavelength of 1.5418 Å).
Peak positions follow from Bragg's law for the DFT cell and can differ from measured ones.

Most intense lines, 2θ from 10° to 90°, by angle:
Position (°2θ)  I (rel.)  hkl
17.88  100  1 0 -1
33.59  13  1 -1 1
34.34  24  2 0 0
34.45  12  1 2 3
36.21  11  0 0 4
41.58  33  2 0 2
41.76  16  0 2 4
46.20  9  2 2 4
59.44  11  -2 2 2
61.27  10  2 2 6

Crystal structure
```
data_Li2V3TeO8
_cell_length_a 6.055
_cell_length_b 6.224
_cell_length_c 10.462
_cell_angle_alpha 73.89
_cell_angle_beta 89.90
_cell_angle_gamma 60.94
_space_group_name_H-M_alt 'P 1'
_space_group_IT_number 1
_space_group_name_Hall 'P 1'
loop_
_atom_site_label
_atom_site_fract_x
_atom_site_fract_y
_atom_site_fract_z
Li1 0.000 0.000 0.000
Li2 0.110 0.776 0.371
Li3 0.496 0.000 0.500
Li4 0.610 0.777 0.871
V1 0.052 0.389 0.685
V2 0.054 0.389 0.185
V3 0.304 0.388 0.936
V4 0.553 0.387 0.686
V5 0.556 0.386 0.186
V6 0.805 0.387 0.436
Te1 0.051 0.887 0.685
Te2 0.557 0.887 0.186
O1 0.147 0.155 0.561
O2 0.178 0.623 0.576
O3 0.190 0.160 0.060
O4 0.207 0.590 0.069
O5 0.402 0.187 0.802
O6 0.417 0.618 0.807
O7 0.421 0.151 0.295
O8 0.461 0.615 0.308
O9 0.657 0.147 0.068
O10 0.689 0.624 0.076
O11 0.691 0.149 0.568
O12 0.700 0.589 0.569
O13 0.907 0.186 0.302
O14 0.913 0.631 0.304
O15 0.926 0.153 0.795
O16 0.952 0.631 0.805
```

---

For NaMn3P3O13, a crystal structure in the Materials Project, relaxed with PBE+U gives the theoretical X-ray diffraction stick pattern in this record (a wavelength of 1.5418 Å).
Peak positions follow from Bragg's law for the DFT cell and can differ from measured ones.

Most intense lines, 2θ from 10° to 90°, by angle:
Position (°2θ)  I (rel.)  hkl
16.55  48  0 1 1
19.28  100  1 0 -2
22.45  44  1 0 2
23.87  60  2 0 0
26.68  67  2 0 1
28.51  76  0 2 0
29.60  49  0 1 3
30.27  66  1 0 3
32.46  49  2 0 -3
32.72  50  1 2 1

Crystal structure
```
data_NaMn3P3O13
_cell_length_a 7.551
_cell_length_b 6.262
_cell_length_c 10.468
_cell_angle_alpha 90.00
_cell_angle_beta 99.17
_cell_angle_gamma 90.00
_space_group_name_H-M_alt 'P 1 21/m 1'
_space_group_IT_number 11
_space_group_name_Hall '-P 2yb'
loop_
_atom_site_label
_atom_site_fract_x
_atom_site_fract_y
_atom_site_fract_z
Na1 0.173 0.250 0.201
Mn1 0.139 0.250 0.802
Mn2 0.265 0.750 0.444
Mn3 0.500 0.000 0.000
P1 0.189 0.750 0.117
P2 0.240 0.750 0.766
P3 0.289 0.250 0.524
O1 0.009 0.250 0.955
O2 0.123 0.558 0.794
O3 0.145 0.750 0.259
O4 0.153 0.250 0.622
O5 0.243 0.057 0.430
O6 0.292 0.546 0.092
O7 0.294 0.750 0.632
O8 0.375 0.250 0.904
O9 0.416 0.750 0.868
O10 0.480 0.250 0.596
```

---

For Fe10O9F11, a crystal structure in the Materials Project, relaxed with PBE+U gives the theoretical X-ray diffraction stick pattern in this record (a wavelength of 1.5418 Å).
Peak positions follow from Bragg's law for the DFT cell and can differ from measured ones.

Most intense lines, 2θ from 10° to 90°, by angle:
Position (°2θ)  I (rel.)  hkl
25.73  100  1 1 0
27.36  92  1 -1 0
34.54  25  0 1 5
34.68  76  1 0 5
51.21  16  1 2 5
51.45  31  1 2 -5
52.88  18  2 2 0
53.30  26  1 -2 5
59.88  16  0 0 10
66.45  29  0 3 -5

Crystal structure
```
data_Fe10O9F11
_cell_length_a 4.752
_cell_length_b 4.760
_cell_length_c 15.448
_cell_angle_alpha 89.68
_cell_angle_beta 89.99
_cell_angle_gamma 86.54
_space_group_name_H-M_alt 'P 1'
_space_group_IT_number 1
_space_group_name_Hall 'P 1'
loop_
_atom_site_label
_atom_site_fract_x
_atom_site_fract_y
_atom_site_fract_z
Fe1 0.000 0.000 0.000
Fe2 0.007 0.987 0.192
Fe3 0.030 0.029 0.600
Fe4 0.042 0.003 0.397
Fe5 0.451 0.501 0.496
Fe6 0.475 0.512 0.306
Fe7 0.496 0.505 0.898
Fe8 0.504 0.495 0.103
Fe9 0.521 0.461 0.691
Fe10 0.987 0.006 0.807
O1 0.181 0.821 0.293
O2 0.185 0.819 0.504
O3 0.198 0.800 0.898
O4 0.203 0.794 0.095
O5 0.291 0.304 0.404
O6 0.311 0.308 0.601
O7 0.795 0.202 0.901
O8 0.799 0.198 0.097
O9 0.823 0.179 0.702
F1 0.213 0.790 0.705
F2 0.297 0.298 0.194
F3 0.308 0.307 0.998
F4 0.312 0.302 0.798
F5 0.692 0.691 0.998
F6 0.694 0.686 0.797
F7 0.697 0.697 0.196
F8 0.698 0.692 0.602
F9 0.699 0.710 0.407
F10 0.796 0.203 0.296
F11 0.796 0.210 0.500
```